Entry 1:
The following is a theoretical powder diffraction line list of Nb3Hg2Br9. It was derived from DFT lattice parameters and positions (GGA-PBE), using Cu Kα.

Main lines, low angle first (2θ = 10–90°):
17.99°, I = 44; 23.44°, I = 58; 28.21°, I = 100; 29.70°, I = 46; 30.07°, I = 58; 31.71°, I = 87; 32.63°, I = 92; 35.30°, I = 57; 44.50°, I = 55; 47.94°, I = 72

Cell and atoms:
Lattice parameters (Å, degrees): 10.0395 10.0395 10.1669 100.36 100.36 119.86
Sites, in units of the cell vectors:
Nb1 0.0463 0.2193 0.6315
Nb2 0.1275 0.1275 0.3713
Nb3 0.2193 0.0463 0.6315
Nb4 0.7807 0.9537 0.3685
Nb5 0.8725 0.8725 0.6287
Nb6 0.9537 0.7807 0.3685
Hg1 0.2161 0.5453 0.1658
Hg2 0.4547 0.7839 0.8342
Hg3 0.5453 0.2161 0.1658
Hg4 0.7839 0.4547 0.8342
Br1 0.0972 0.8891 0.1876
Br2 0.1087 0.5153 0.8077
Br3 0.1109 0.9028 0.8124
Br4 0.2083 0.4172 0.5032
Br5 0.2084 0.7916 0.5000
Br6 0.3010 0.3010 0.2005
Br7 0.3197 0.3197 0.8153
Br8 0.4172 0.2083 0.5032
Br9 0.4847 0.8913 0.1923
Br10 0.5153 0.1087 0.8077
Br11 0.5828 0.7917 0.4968
Br12 0.6803 0.6803 0.1847
Br13 0.6990 0.6990 0.7995
Br14 0.7916 0.2084 0.5000
Br15 0.7917 0.5828 0.4968
Br16 0.8891 0.0972 0.1876
Br17 0.8913 0.4847 0.1923
Br18 0.9028 0.1109 0.8124


Entry 2:
The following is a theoretical powder diffraction line list of NaSiAu2Se4. It was derived from DFT lattice parameters and positions (GGA-PBE), using Cu Kα.

Main lines, low angle first (2θ = 10–90°):
16.74°, I = 94; 18.81°, I = 95; 27.24°, I = 100; 31.14°, I = 35; 31.98°, I = 48; 32.58°, I = 51; 38.16°, I = 75; 42.20°, I = 31; 42.84°, I = 58; 50.09°, I = 31

Cell and atoms:
Lattice parameters (Å, degrees): 6.5549 6.5549 6.5549 120.38 117.15 92.18
Sites, in units of the cell vectors:
Na1 0.0000 0.0000 0.0000
Si1 0.5000 0.5000 0.0000
Au1 0.1557 0.6557 0.5000
Au2 0.8443 0.3443 0.5000
Se1 0.1657 0.5740 0.0204
Se2 0.4463 0.4260 0.5917
Se3 0.5537 0.1453 0.9796
Se4 0.8343 0.8547 0.4083


Entry 3:
The following is a theoretical powder diffraction line list of Lu4Zn2C. It was derived from DFT lattice parameters and positions (GGA-PBE), using Cu Kα.

Main lines, low angle first (2θ = 10–90°):
26.85°, I = 24; 29.63°, I = 100; 37.20°, I = 73; 37.32°, I = 21; 38.10°, I = 65; 38.56°, I = 22; 54.99°, I = 23; 55.33°, I = 31; 63.70°, I = 23; 68.27°, I = 28

Cell and atoms:
Lattice parameters (Å, degrees): 7.7602 7.7602 7.7602 144.56 144.56 50.99
Sites, in units of the cell vectors:
Lu1 0.0000 0.5000 0.5000
Lu2 0.1721 0.1721 0.0000
Lu3 0.5000 0.0000 0.5000
Lu4 0.8279 0.8279 0.0000
Zn1 0.3739 0.3739 0.0000
Zn2 0.6261 0.6261 0.0000
C1 0.0000 0.0000 0.0000


Entry 4:
The following is a theoretical powder diffraction line list of LuMgHgBi. It was derived from DFT lattice parameters and positions (GGA-PBE), using Cu Kα.

Main lines, low angle first (2θ = 10–90°):
20.67°, I = 14; 23.92°, I = 14; 34.08°, I = 100; 40.19°, I = 8; 42.06°, I = 5; 48.96°, I = 18; 55.20°, I = 6; 61.00°, I = 38; 71.76°, I = 12; 81.87°, I = 17

Cell and atoms:
Lattice parameters (Å, degrees): 5.2617 5.2617 5.2617 60.00 60.00 60.00
Sites, in units of the cell vectors:
Lu1 0.0000 0.0000 0.0000
Mg1 0.5000 0.5000 0.5000
Hg1 0.2500 0.2500 0.2500
Bi1 0.7500 0.7500 0.7500


Entry 5:
The following is a theoretical powder diffraction line list of ThCdH8Rh2. It was derived from DFT lattice parameters and positions (GGA-PBE), using Cu Kα.

Main lines, low angle first (2θ = 10–90°):
21.83°, I = 15; 25.74°, I = 12; 30.04°, I = 100; 30.60°, I = 40; 35.34°, I = 21; 37.76°, I = 62; 42.08°, I = 24; 44.81°, I = 19; 52.92°, I = 17; 63.14°, I = 15

Cell and atoms:
Lattice parameters (Å, degrees): 4.8260 4.8260 6.2995 108.38 108.38 52.84
Sites, in units of the cell vectors:
Th1 0.0000 0.0000 0.0000
Cd1 0.5000 0.5000 0.5000
H1 0.0522 0.5558 0.1633
H2 0.2084 0.2084 0.3818
H3 0.4442 0.9478 0.8367
H4 0.4478 0.4478 0.8317
H5 0.5522 0.5522 0.1683
H6 0.5558 0.0522 0.1633
H7 0.7916 0.7916 0.6182
H8 0.9478 0.4442 0.8367
Rh1 0.2355 0.2355 0.6607
Rh2 0.7645 0.7645 0.3393


Entry 6:
The following is a theoretical powder diffraction line list of LaZn2Ru. It was derived from DFT lattice parameters and positions (GGA-PBE), using Cu Kα.

Main lines, low angle first (2θ = 10–90°):
25.12°, I = 47; 31.86°, I = 100; 34.10°, I = 50; 34.40°, I = 98; 34.46°, I = 43; 35.91°, I = 65; 37.90°, I = 79; 38.20°, I = 62; 43.01°, I = 57; 62.85°, I = 41

Cell and atoms:
Lattice parameters (Å, degrees): 15.6759 7.0900 5.6874 90.00 90.00 90.00
Sites, in units of the cell vectors:
La1 0.1021 0.2500 0.2171
La2 0.1497 0.7500 0.3965
La3 0.3503 0.2500 0.8965
La4 0.3979 0.7500 0.7171
La5 0.6021 0.2500 0.2829
La6 0.6497 0.7500 0.1035
La7 0.8503 0.2500 0.6035
La8 0.8979 0.7500 0.7829
Zn1 0.0465 0.0600 0.7238
Zn2 0.0465 0.4400 0.7238
Zn3 0.1996 0.5545 0.8793
Zn4 0.1996 0.9455 0.8793
Zn5 0.3004 0.0545 0.3793
Zn6 0.3004 0.4455 0.3793
Zn7 0.4535 0.5600 0.2238
Zn8 0.4535 0.9400 0.2238
Zn9 0.5465 0.0600 0.7762
Zn10 0.5465 0.4400 0.7762
Zn11 0.6996 0.5545 0.6207
Zn12 0.6996 0.9455 0.6207
Zn13 0.8004 0.0545 0.1207
Zn14 0.8004 0.4455 0.1207
Zn15 0.9535 0.5600 0.2762
Zn16 0.9535 0.9400 0.2762
Ru1 0.0592 0.7500 0.0000
Ru2 0.1888 0.2500 0.6106
Ru3 0.3112 0.7500 0.1106
Ru4 0.4408 0.2500 0.5000
Ru5 0.5592 0.7500 0.5000
Ru6 0.6888 0.2500 0.8894
Ru7 0.8112 0.7500 0.3894
Ru8 0.9408 0.2500 0.0000